Record 1
The following is a computed X-ray diffraction stick pattern of MnV6Re5. It was derived from DFT lattice parameters and positions (GGA-PBE), using CuKα.
No peak broadening, texture or thermal motion is included.

Top 12 peaks for 2θ from 10° to 90°, low angle first:
2theta	I (rel.)
16.2	4
25.6	3
29.6	43
42.3	100
42.4	20
52.5	13
61.4	7
61.5	13
69.6	14
69.8	3
77.4	26
77.6	13

Atomic structure:
Cell lengths 4.2711, 6.0428, 12.7803 Å; angles 90.00, 90.00, 90.00 degrees
Space group Immm (No. 71)
Inequivalent atoms, fractional coordinates:
Mn 0.0000 0.0000 0.0000
V 0.0000 0.2476 0.1649
V 0.0000 0.2546 0.5000
Re 0.0000 0.0000 0.3336
Re 0.0000 0.5000 0.0000
Re 0.0000 0.5000 0.3345

***

Record 2
The following is a computed X-ray diffraction stick pattern of Ce3Pt2Au. It was derived from DFT lattice parameters and positions (GGA-PBE), using CuKα.
No peak broadening, texture or thermal motion is included.

Top 12 peaks for 2θ from 10° to 90°, low angle first:
2theta	I (rel.)
13.0	10
28.8	13
31.2	11
33.2	100
34.8	11
38.0	51
39.3	19
42.8	13
54.8	18
62.9	10
65.6	14
67.8	8

Atomic structure:
Cell lengths 4.7405, 13.6157, 9.4725 Å; angles 90.00, 90.00, 90.00 degrees
Space group Cmcm (No. 63)
Inequivalent atoms, fractional coordinates:
Ce 0.0000 0.1287 0.2500
Ce 0.0000 0.3668 0.0435
Pt 0.0000 0.0000 0.0000
Pt 0.0000 0.4770 0.7500
Au 0.0000 0.2211 0.7500

***

Record 3
The following is a computed X-ray diffraction stick pattern of RbIn6Pb8. It was derived from DFT lattice parameters and positions (GGA-PBE), using CuKα.
No peak broadening, texture or thermal motion is included.

Top 12 peaks for 2θ from 10° to 90°, low angle first:
2theta	I (rel.)
10.1	48
15.5	24
23.5	30
30.5	74
31.2	71
34.4	100
36.1	57
38.8	21
56.8	25
57.9	18
60.9	26
63.5	18

Atomic structure:
Cell lengths 10.1506, 10.1506, 5.7046 Å; angles 90.00, 90.00, 120.00 degrees
Space group P-3 (No. 147)
Inequivalent atoms, fractional coordinates:
Rb 0.0000 0.0000 0.0000
In 0.1455 0.6738 0.0770
Pb 0.0190 0.3485 0.4155
Pb 0.3333 0.6667 0.5980

***

Record 4
The following is a computed X-ray diffraction stick pattern of BeReRh. It was derived from DFT lattice parameters and positions (GGA-PBE), using CuKα.
No peak broadening, texture or thermal motion is included.

Top 12 peaks for 2θ from 10° to 90°, low angle first:
2theta	I (rel.)
16.3	23
19.2	51
33.0	22
33.1	59
33.3	38
39.0	31
43.0	51
43.5	100
43.9	45
45.4	89
61.8	19
66.1	29

Atomic structure:
Cell lengths 2.8282, 5.0048, 5.6523 Å; angles 105.27, 90.05, 106.41 degrees
Space group P-1 (No. 2)
Inequivalent atoms, fractional coordinates:
Be 0.0066 0.0145 0.2492
Re 0.3393 0.6788 0.4097
Rh 0.3516 0.7025 0.9226